# 1
The following is a simulated powder diffractogram of MgRe2NiO8. It was derived from DFT lattice parameters and positions (GGA+U), using Cu Kα X-rays.

Atomic structure:
Unit cell a=5.412 b=5.412 c=7.218 alpha=90.00 beta=90.00 gamma=120.00
Positions (direct):
Mg 0.000 0.000 0.000
Re 0.000 0.000 0.521
Re 0.667 0.333 0.039
Ni 0.333 0.667 0.787
O 0.000 0.000 0.273
O 0.059 0.733 0.613
O 0.267 0.326 0.613
O 0.362 0.004 0.942
O 0.643 0.638 0.942
O 0.667 0.333 0.278
O 0.674 0.941 0.613
O 0.996 0.357 0.942

Top 10 peaks for 10 to 90 degrees two-theta, low angle first:
Position (°2θ), I (rel.)
18.93, 16
22.62, 100
24.67, 15
31.28, 25
33.10, 37
40.47, 17
41.72, 16
42.22, 17
53.24, 19
61.79, 15


# 2
The following is a simulated powder diffractogram of Li2FeSnP2O8. It was derived from DFT lattice parameters and positions (GGA+U), using Cu Kα X-rays.

Atomic structure:
Unit cell a=9.718 b=6.275 c=12.257 alpha=90.00 beta=112.81 gamma=90.00
Positions (direct):
Li 0.000 0.000 0.000
Li 0.000 0.000 0.500
Li 0.000 0.500 0.000
Li 0.000 0.500 0.500
Li 0.500 0.000 0.000
Li 0.500 0.000 0.500
Li 0.500 0.500 0.000
Li 0.500 0.500 0.500
Fe 0.120 0.250 0.294
Fe 0.378 0.750 0.705
Fe 0.622 0.250 0.295
Fe 0.880 0.750 0.706
Sn 0.147 0.250 0.780
Sn 0.354 0.749 0.220
Sn 0.646 0.249 0.780
Sn 0.853 0.750 0.220
P 0.172 0.750 0.423
P 0.234 0.249 0.112
P 0.266 0.750 0.888
P 0.328 0.250 0.577
P 0.672 0.750 0.423
P 0.734 0.250 0.112
P 0.766 0.749 0.888
P 0.828 0.250 0.577
O 0.077 0.549 0.359
O 0.077 0.951 0.359
O 0.101 0.749 0.871
O 0.122 0.250 0.981
O 0.172 0.250 0.581
O 0.173 0.750 0.550
O 0.190 0.052 0.171
O 0.190 0.446 0.172
O 0.310 0.947 0.829
O 0.311 0.552 0.829
O 0.327 0.250 0.450
O 0.328 0.750 0.419
O 0.378 0.750 0.019
O 0.399 0.250 0.128
O 0.423 0.049 0.641
O 0.423 0.450 0.641
O 0.577 0.549 0.359
O 0.577 0.950 0.359
O 0.601 0.750 0.872
O 0.622 0.250 0.981
O 0.672 0.250 0.581
O 0.673 0.750 0.550
O 0.689 0.052 0.171
O 0.690 0.447 0.171
O 0.810 0.552 0.829
O 0.810 0.946 0.828
O 0.827 0.250 0.450
O 0.828 0.750 0.419
O 0.878 0.750 0.019
O 0.899 0.249 0.129
O 0.923 0.049 0.641
O 0.923 0.451 0.641

Top 10 peaks for 10 to 90 degrees two-theta, low angle first:
Position (°2θ), I (rel.)
15.69, 74
24.27, 43
24.42, 100
24.53, 66
28.45, 86
33.19, 71
33.44, 60
34.86, 53
48.02, 31
50.61, 30


# 3
The following is a simulated powder diffractogram of V2PbO2. It was derived from DFT lattice parameters and positions (GGA+U), using Cu Kα X-rays.

Atomic structure:
Unit cell a=8.606 b=8.606 c=8.606 alpha=125.55 beta=125.55 gamma=80.62
Positions (direct):
V 0.211 0.698 0.513
V 0.302 0.315 0.513
V 0.302 0.789 0.987
V 0.315 0.302 0.013
V 0.685 0.698 0.987
V 0.698 0.211 0.013
V 0.698 0.685 0.487
V 0.789 0.302 0.487
Pb 0.000 0.000 0.000
Pb 0.000 0.000 0.500
Pb 0.000 0.500 0.000
Pb 0.500 0.000 0.500
O 0.180 0.266 0.585
O 0.180 0.595 0.915
O 0.266 0.180 0.085
O 0.405 0.820 0.585
O 0.595 0.180 0.415
O 0.734 0.820 0.915
O 0.820 0.405 0.085
O 0.820 0.734 0.415

Top 10 peaks for 10 to 90 degrees two-theta, low angle first:
Position (°2θ), I (rel.)
13.11, 98
23.26, 66
26.20, 67
26.40, 35
27.18, 37
32.15, 100
32.64, 74
42.59, 47
46.11, 34
47.55, 45


# 4
The following is a simulated powder diffractogram of LiVF4. It was derived from DFT lattice parameters and positions (GGA+U), using Cu Kα X-rays.

Atomic structure:
Unit cell a=7.878 b=7.981 c=7.983 alpha=97.00 beta=97.96 gamma=97.85
Positions (direct):
Li 0.000 0.000 0.000
Li 0.011 0.513 0.862
Li 0.074 0.242 0.664
Li 0.272 0.206 0.951
Li 0.614 0.593 0.697
Li 0.912 0.283 0.162
V 0.069 0.682 0.258
V 0.331 0.315 0.341
V 0.428 0.595 0.989
V 0.591 0.947 0.874
V 0.685 0.208 0.513
V 0.961 0.847 0.601
F 0.050 0.688 0.732
F 0.074 0.043 0.785
F 0.145 0.200 0.143
F 0.160 0.852 0.462
F 0.192 0.507 0.365
F 0.218 0.228 0.511
F 0.229 0.412 0.866
F 0.254 0.702 0.100
F 0.421 0.057 0.966
F 0.435 0.728 0.778
F 0.442 0.435 0.172
F 0.475 0.128 0.337
F 0.546 0.412 0.523
F 0.573 0.086 0.680
F 0.591 0.482 0.887
F 0.595 0.802 0.074
F 0.757 0.816 0.744
F 0.796 0.099 0.992
F 0.805 0.303 0.350
F 0.846 0.024 0.498
F 0.867 0.676 0.404
F 0.870 0.330 0.696
F 0.955 0.494 0.082
F 0.968 0.840 0.136

Top 10 peaks for 10 to 90 degrees two-theta, low angle first:
Position (°2θ), I (rel.)
17.14, 52
17.37, 100
18.57, 24
18.79, 51
23.88, 58
24.10, 27
25.81, 25
39.89, 41
46.14, 26
55.42, 17


# 5
The following is a simulated powder diffractogram of NaFeP2O7. It was derived from DFT lattice parameters and positions (GGA+U), using Cu Kα X-rays.

Atomic structure:
Unit cell a=7.424 b=8.040 c=9.692 alpha=90.00 beta=111.72 gamma=90.00
Positions (direct):
Na 0.212 0.024 0.209
Na 0.212 0.476 0.709
Na 0.788 0.524 0.291
Na 0.788 0.976 0.791
Fe 0.241 0.009 0.750
Fe 0.241 0.491 0.250
Fe 0.759 0.509 0.750
Fe 0.759 0.991 0.250
P 0.172 0.712 0.953
P 0.172 0.788 0.453
P 0.428 0.245 0.046
P 0.428 0.255 0.546
P 0.572 0.745 0.454
P 0.572 0.755 0.954
P 0.828 0.212 0.547
P 0.828 0.288 0.047
O 0.033 0.587 0.848
O 0.033 0.913 0.348
O 0.135 0.608 0.397
O 0.135 0.892 0.897
O 0.191 0.700 0.115
O 0.191 0.800 0.615
O 0.315 0.214 0.880
O 0.315 0.286 0.380
O 0.319 0.136 0.608
O 0.319 0.364 0.108
O 0.376 0.654 0.938
O 0.376 0.846 0.438
O 0.489 0.085 0.139
O 0.489 0.415 0.639
O 0.511 0.585 0.361
O 0.511 0.915 0.861
O 0.624 0.154 0.562
O 0.624 0.346 0.062
O 0.681 0.636 0.892
O 0.681 0.864 0.392
O 0.685 0.714 0.620
O 0.685 0.786 0.120
O 0.809 0.200 0.385
O 0.809 0.300 0.885
O 0.865 0.108 0.103
O 0.865 0.392 0.603
O 0.967 0.087 0.652
O 0.967 0.413 0.152

Top 10 peaks for 10 to 90 degrees two-theta, low angle first:
Position (°2θ), I (rel.)
17.03, 58
21.91, 17
22.64, 28
25.84, 24
28.16, 37
28.40, 25
29.80, 100
34.46, 16
38.84, 15
45.13, 13


# 6
The following is a simulated powder diffractogram of NaNiO2. It was derived from DFT lattice parameters and positions (GGA+U), using Cu Kα X-rays.

Atomic structure:
Unit cell a=3.737 b=3.737 c=3.355 alpha=90.00 beta=90.00 gamma=90.00
Positions (direct):
Na 0.000 0.000 0.000
Ni 0.500 0.500 0.500
O 0.000 0.500 0.500
O 0.500 0.000 0.500

Top 10 peaks for 10 to 90 degrees two-theta, low angle first:
Position (°2θ), I (rel.)
23.81, 31
26.57, 40
33.92, 23
35.97, 100
48.73, 36
54.72, 12
56.36, 15
62.04, 36
71.39, 10
76.28, 15


# 7
The following is a simulated powder diffractogram of Zn2Mo3O8. It was derived from DFT lattice parameters and positions (GGA+U), using Cu Kα X-rays.

Atomic structure:
Unit cell a=6.090 b=6.090 c=5.458 alpha=108.74 beta=108.74 gamma=62.07
Positions (direct):
Zn 0.177 0.177 0.134
Zn 0.823 0.823 0.866
Mo 0.239 0.761 0.500
Mo 0.500 0.500 0.000
Mo 0.761 0.239 0.500
O 0.113 0.113 0.738
O 0.156 0.633 0.747
O 0.367 0.844 0.253
O 0.385 0.385 0.256
O 0.615 0.615 0.744
O 0.633 0.156 0.747
O 0.844 0.367 0.253
O 0.887 0.887 0.262

Top 10 peaks for 10 to 90 degrees two-theta, low angle first:
Position (°2θ), I (rel.)
18.34, 87
26.81, 33
29.96, 27
30.26, 47
31.18, 41
33.25, 55
33.59, 100
41.77, 27
58.67, 37
60.99, 36